1.
For KSiHO3, a crystal structure in Alexandria, relaxed with GGA-PBE gives the calculated X-ray diffraction stick pattern in this record (copper Kα).
Kinematic intensities with the Lorentz-polarization factor, no thermal factor.

Top 8 peaks for 5 to 70 degrees two-theta, low angle first:
2θ/deg, I (rel.), (hkl)
25.80, 22, 3 1 1
26.20, 18, 1 1 3
28.50, 100, 2 2 2
29.65, 46, 1 3 1
30.54, 50, 4 0 0
33.50, 26, 1 1 4
44.23, 25, 4 0 4
51.41, 18, 0 2 6

Cell and atoms:
```
data_KSiHO3
_chemical_formula_sum 'K16 Si16 H16 O48'
_symmetry_space_group_name_H-M 'C m c e'
_symmetry_Int_Tables_number 64
_symmetry_space_group_name_Hall '-C 2ac 2'
_cell_length_a 11.7087
_cell_length_b 9.7222
_cell_length_c 11.4569
_cell_angle_alpha 90.00
_cell_angle_beta 90.00
_cell_angle_gamma 90.00
loop_
_atom_site_label
_atom_site_type_symbol
_atom_site_fract_x
_atom_site_fract_y
_atom_site_fract_z
_atom_site_occupancy
K1 K 0.0000 0.1766 0.0426 1
K2 K 0.2500 0.2410 0.7500 1
Si1 Si 0.0000 0.0155 0.3155 1
Si2 Si 0.1961 0.0000 0.5000 1
H1 H 0.0000 0.1708 0.8057 1
H2 H 0.2500 0.2500 0.0000 1
O1 O 0.0000 0.0646 0.8116 1
O2 O 0.0000 0.1775 0.2976 1
O3 O 0.1127 0.0461 0.6116 1
O4 O 0.2285 0.1345 0.0331 1
```



2.
For KUSiHO6, a crystal structure in Alexandria, relaxed with GGA-PBE gives the calculated X-ray diffraction stick pattern in this record (copper Kα).
Kinematic intensities with the Lorentz-polarization factor, no thermal factor.

Top 8 peaks for 5 to 70 degrees two-theta, low angle first:
2θ/deg, I (rel.), (hkl)
13.42, 100, 0 0 1
13.73, 26, 1 0 0
18.59, 32, 1 1 0
24.86, 31, 1 1 1
25.10, 34, 0 2 0
28.56, 34, 0 2 1
30.42, 46, 2 1 0
30.55, 31, 2 1 -1

Cell and atoms:
```
data_KUSiHO6
_chemical_formula_sum 'K2 U2 Si2 H2 O12'
_symmetry_space_group_name_H-M 'P 1 21 1'
_symmetry_Int_Tables_number 4
_symmetry_space_group_name_Hall 'P 2yb'
_cell_length_a 6.6393
_cell_length_b 7.0969
_cell_length_c 6.7881
_cell_angle_alpha 90.00
_cell_angle_beta 103.64
_cell_angle_gamma 90.00
loop_
_atom_site_label
_atom_site_type_symbol
_atom_site_fract_x
_atom_site_fract_y
_atom_site_fract_z
_atom_site_occupancy
K1 K 0.2230 0.0000 0.0596 1
U1 U 0.1413 0.6554 0.5279 1
Si1 Si 0.3550 0.1565 0.5747 1
H1 H 0.3771 0.6149 0.1543 1
O1 O 0.1153 0.6488 0.2492 1
O2 O 0.1520 0.6671 0.8017 1
O3 O 0.1883 0.9808 0.5202 1
O4 O 0.1905 0.3328 0.5411 1
O5 O 0.4765 0.1520 0.8189 1
O6 O 0.4851 0.6573 0.5732 1
```